ZnWO4: theoretical powder diffraction line list (Cu Kα, 1.54184 Å), based on a cell relaxed with PBE+U.
Intensities are scaled so that the largest is 100.

Principal peaks in the range 2θ = 5–70°, sorted by position:
| Position (°2θ) | I/Imax | hkl |
| --- | --- | --- |
| 19.5 | 29 | 1 0 1 |
| 30.0 | 100 | 1 1 2 |
| 30.4 | 11 | 1 0 3 |
| 32.9 | 14 | 0 0 4 |
| 35.7 | 19 | 2 0 0 |
| 41.0 | 8 | 2 1 1 |
| 47.6 | 5 | 1 2 3 |
| 49.4 | 32 | 2 0 4 |
| 51.4 | 15 | 2 2 0 |
| 57.0 | 16 | 1 1 6 |
| 60.7 | 27 | 3 1 2 |
| 62.4 | 10 | 2 2 4 |

Cell and atoms:
```
data_ZnWO4
_chemical_formula_sum 'Zn4 W4 O16'
_space_group_name_H-M_alt 'I 41/a'
_space_group_IT_number 88
_cell_length_a 5.0251
_cell_length_b 5.0251
_cell_length_c 10.8787
_cell_angle_alpha 90.00
_cell_angle_beta 90.00
_cell_angle_gamma 90.00
loop_
_space_group_symop_operation_xyz
'x,y,z'
'-x,-y,-z'
'-y+3/4,x+1/4,z+1/4'
'y+3/4,-x+1/4,-z+1/4'
'-x+1/2,-y,z+1/2'
'x+1/2,y,-z+1/2'
'y+3/4,-x+3/4,z+3/4'
'-y+3/4,x+3/4,-z+3/4'
'x+1/2,y+1/2,z+1/2'
'-x+1/2,-y+1/2,-z+1/2'
'-y+1/4,x+3/4,z+3/4'
'y+1/4,-x+3/4,-z+3/4'
'-x,-y+1/2,z'
'x,y+1/2,-z'
'y+1/4,-x+1/4,z+1/4'
'-y+1/4,x+1/4,-z+1/4'
loop_
_atom_site_label
_atom_site_fract_x
_atom_site_fract_y
_atom_site_fract_z
_atom_site_occupancy
Zn1 0.0000 0.2500 0.1250 1
W1 0.0000 0.2500 0.6250 1
O1 0.1869 0.0006 0.7143 1
```